Starting from a crystal structure in the Materials Project, relaxed with GGA-PBE, the X-ray diffraction stick pattern of Ba4Nd4Zn3PtO15 was simulated for λ = 1.5418 Å (Cu Kα).

Main lines, low angle first (2θ from 15° to 90°):
| (hkl) | 2θ/deg | I (rel.) |
| --- | --- | --- |
| 2 2 0 | 30.08 | 1000 |
| 2 0 2 | 31.31 | 283 |
| 3 0 2 | 37.04 | 271 |
| 3 2 1 | 40.39 | 77 |
| 4 0 2 | 43.97 | 115 |
| 4 1 2 | 48.43 | 184 |
| 6 0 0 | 53.42 | 163 |
| 4 2 2 | 54.19 | 76 |
| 4 4 0 | 62.53 | 177 |
| 4 1 4 | 68.84 | 84 |

Crystal structure
```
data_Ba4Nd4Zn3PtO15
_chemical_formula_sum 'Ba8 Nd8 Zn6 Pt2 O30'
_cell_length_a 11.882
_cell_length_b 11.882
_cell_length_c 6.871
_cell_angle_alpha 90.00
_cell_angle_beta 90.00
_cell_angle_gamma 120.00
_symmetry_space_group_name_H-M 'P 1'
_symmetry_Int_Tables_number 1
_symmetry_space_group_name_Hall 'P 1'
loop_
_atom_site_label
_atom_site_type_symbol
_atom_site_fract_x
_atom_site_fract_y
_atom_site_fract_z
Ba1 Ba 0.173 0.346 0.000
Ba2 Ba 0.173 0.827 0.000
Ba3 Ba 0.333 0.667 0.680
Ba4 Ba 0.346 0.173 0.500
Ba5 Ba 0.654 0.827 0.000
Ba6 Ba 0.667 0.333 0.180
Ba7 Ba 0.827 0.173 0.500
Ba8 Ba 0.827 0.654 0.500
Nd1 Nd 0.000 0.000 0.183
Nd2 Nd 0.000 0.000 0.683
Nd3 Nd 0.046 0.523 0.342
Nd4 Nd 0.477 0.523 0.342
Nd5 Nd 0.477 0.954 0.342
Nd6 Nd 0.523 0.046 0.842
Nd7 Nd 0.523 0.477 0.842
Nd8 Nd 0.954 0.477 0.842
Zn1 Zn 0.171 0.343 0.517
Zn2 Zn 0.171 0.829 0.517
Zn3 Zn 0.343 0.171 0.017
Zn4 Zn 0.657 0.829 0.517
Zn5 Zn 0.829 0.171 0.017
Zn6 Zn 0.829 0.657 0.017
Pt1 Pt 0.333 0.667 0.157
Pt2 Pt 0.667 0.333 0.657
O1 O 0.057 0.395 0.641
O2 O 0.057 0.662 0.641
O3 O 0.084 0.167 0.412
O4 O 0.084 0.916 0.412
O5 O 0.167 0.084 0.912
O6 O 0.167 0.583 0.997
O7 O 0.251 0.502 0.330
O8 O 0.251 0.749 0.330
O9 O 0.338 0.395 0.641
O10 O 0.338 0.943 0.641
O11 O 0.395 0.057 0.141
O12 O 0.395 0.338 0.141
O13 O 0.417 0.583 0.997
O14 O 0.417 0.833 0.997
O15 O 0.498 0.749 0.330
O16 O 0.502 0.251 0.830
O17 O 0.583 0.167 0.497
O18 O 0.583 0.417 0.497
O19 O 0.605 0.662 0.641
O20 O 0.605 0.943 0.641
O21 O 0.662 0.057 0.141
O22 O 0.662 0.605 0.141
O23 O 0.749 0.251 0.830
O24 O 0.749 0.498 0.830
O25 O 0.833 0.417 0.497
O26 O 0.833 0.916 0.412
O27 O 0.916 0.084 0.912
O28 O 0.916 0.833 0.912
O29 O 0.943 0.338 0.141
O30 O 0.943 0.605 0.141
```